1.
Diffraction record for PdCN2. The PXRD pattern is theoretical, not measured: it uses DFT lattice parameters and positions (PBE) and CuKα.
Peak positions follow from Bragg's law for the DFT cell and can differ from measured ones.

Main lines, low angle first (10 to 90 degrees two-theta):
2theta	intensity
17.56	67
22.51	100
25.23	30
31.29	18
31.81	15
34.76	41
37.42	35
45.90	37

```
PdCN2
1.0
8.1168 0.0000 0.0000
0.0000 3.0661 0.0000
-1.1913 0.0000 5.0495
Pd C N
2 2 4
Direct
0.0000 0.0000 0.0000
0.5000 0.5000 0.0000
0.0000 0.5000 0.5000
0.5000 0.0000 0.5000
0.0070 0.5000 0.2661
0.4930 0.0000 0.7339
0.5070 0.0000 0.2661
0.9930 0.5000 0.7339
```

---

2.
Diffraction record for PdCN2. The PXRD pattern is theoretical, not measured: it uses DFT lattice parameters and positions (PBE) and CuKα.
Peak positions follow from Bragg's law for the DFT cell and can differ from measured ones.

Main lines, low angle first (10 to 90 degrees two-theta):
2theta	intensity
17.06	71
22.37	100
28.27	43
31.20	18
35.77	75
47.21	35
48.64	30
58.08	25

```
PdCN2
1.0
3.0736 0.0000 0.0000
0.0000 7.9476 0.0000
0.0000 0.0000 5.1961
Pd C N
2 2 4
Direct
0.0000 0.0000 0.0000
0.5000 0.5000 0.0000
0.0000 0.5000 0.5000
0.5000 0.0000 0.5000
0.0000 0.5000 0.2635
0.0000 0.5000 0.7365
0.5000 0.0000 0.2635
0.5000 0.0000 0.7365
```

---

3.
Diffraction record for PdC8N6. The PXRD pattern is theoretical, not measured: it uses DFT lattice parameters and positions (PBE) and CuKα.
Peak positions follow from Bragg's law for the DFT cell and can differ from measured ones.

Main lines, low angle first (10 to 90 degrees two-theta):
2theta	intensity
10.27	100
13.63	85
18.95	34
19.99	90
21.47	71
23.48	69
24.72	25
28.87	31

```
PdC8N6
1.0
8.6151 -10.5222 0.0000
8.6151 10.5222 0.0000
-0.0676 0.0000 4.6824
Pd C N
3 24 18
Direct
0.0000 0.0000 0.0000
0.3180 0.6552 0.2224
0.6552 0.3180 0.2224
0.0067 0.6793 0.9307
0.0515 0.3830 0.4500
0.1025 0.6631 0.9987
0.2123 0.9911 0.2564
0.2713 0.2713 0.7923
0.3032 0.9730 0.3647
0.3117 0.8730 0.3774
0.3301 0.4420 0.9857
0.3466 0.3466 0.9167
0.3830 0.0515 0.4500
0.4420 0.3301 0.9857
0.5372 0.6499 0.3736
0.5988 0.9230 0.9149
0.6359 0.6359 0.3711
0.6499 0.5372 0.3736
0.6631 0.1025 0.9987
0.6793 0.0067 0.9307
0.7179 0.7179 0.3528
0.7784 0.9983 0.8919
0.8730 0.3117 0.3774
0.9230 0.5988 0.9149
0.9730 0.3032 0.3647
0.9911 0.2123 0.2564
0.9983 0.7784 0.8919
0.9996 0.1352 0.1583
0.1155 0.4496 0.5219
0.1352 0.9996 0.1583
0.1844 0.6546 0.0523
0.2091 0.2091 0.6887
0.3111 0.7869 0.3988
0.3241 0.5242 0.0450
0.4496 0.1155 0.5219
0.4529 0.6568 0.3884
0.5242 0.3241 0.0450
0.5315 0.8545 0.9032
0.6546 0.1844 0.0523
0.6568 0.4529 0.3884
0.7857 0.7857 0.3361
0.7869 0.3111 0.3988
0.8545 0.5315 0.9032
0.8633 0.9988 0.8448
0.9988 0.8633 0.8448
```

---

4.
Diffraction record for Tl2PdC4N4. The PXRD pattern is theoretical, not measured: it uses DFT lattice parameters and positions (PBE) and CuKα.
Peak positions follow from Bragg's law for the DFT cell and can differ from measured ones.

Main lines, low angle first (10 to 90 degrees two-theta):
2theta	intensity
18.65	99
18.76	66
18.98	82
23.34	70
26.73	100
29.98	59
35.06	55
36.45	57

```
Tl2PdC4N4
1.0
6.4546 0.0000 0.0000
0.0000 7.8937 0.0000
-3.9109 0.0000 9.4603
Tl Pd C N
4 2 8 8
Direct
0.1929 0.1471 0.4174
0.1929 0.3529 0.9174
0.8071 0.6471 0.0826
0.8071 0.8529 0.5826
0.5000 0.0000 0.0000
0.5000 0.5000 0.5000
0.2397 0.6584 0.4396
0.2397 0.8416 0.9396
0.4907 0.0019 0.8031
0.4907 0.4981 0.3031
0.5093 0.5019 0.6969
0.5093 0.9981 0.1969
0.7603 0.1584 0.0604
0.7603 0.3416 0.5604
0.0879 0.7467 0.9029
0.0879 0.7533 0.4029
0.4847 0.0026 0.6871
0.4847 0.4974 0.1871
0.5153 0.5026 0.8129
0.5153 0.9974 0.3129
0.9121 0.2467 0.5971
0.9121 0.2533 0.0971
```

---

5.
Diffraction record for PtC2N2. The PXRD pattern is theoretical, not measured: it uses DFT lattice parameters and positions (PBE) and CuKα.
Peak positions follow from Bragg's law for the DFT cell and can differ from measured ones.

Main lines, low angle first (10 to 90 degrees two-theta):
2theta	intensity
22.39	100
25.42	46
26.88	15
37.33	25
43.03	34
44.88	20
45.70	13
59.00	14

```
PtC2N2
1.0
-3.5045 3.5045 6.6341
3.5045 -3.5045 6.6341
3.5045 3.5045 -6.6341
Pt C N
4 8 8
Direct
0.0919 0.6250 0.9669
0.3750 0.3419 0.4669
0.6581 0.1250 0.0331
0.8750 0.9081 0.5331
0.0586 0.3262 0.2349
0.0762 0.3086 0.7349
0.0914 0.8238 0.7651
0.1762 0.9414 0.2676
0.5738 0.3414 0.2651
0.6586 0.9238 0.2324
0.6738 0.9086 0.7324
0.6914 0.4262 0.7676
0.0570 0.1269 0.6442
0.1628 0.7327 0.8558
0.2673 0.1231 0.4300
0.4827 0.4128 0.3558
0.5872 0.9430 0.0700
0.6930 0.8372 0.5700
0.8731 0.5173 0.9300
0.8769 0.3070 0.1442
```

---

6.
Diffraction record for PtCN2. The PXRD pattern is theoretical, not measured: it uses DFT lattice parameters and positions (PBE) and CuKα.
Peak positions follow from Bragg's law for the DFT cell and can differ from measured ones.

Main lines, low angle first (10 to 90 degrees two-theta):
2theta	intensity
17.38	89
21.52	97
27.79	60
30.41	34
35.23	100
47.17	38
47.37	37
57.29	21

```
PtCN2
1.0
3.1455 0.0000 0.0000
0.0000 8.2573 0.0000
0.0000 0.0000 5.1030
Pt C N
2 2 4
Direct
0.0000 0.0000 0.0000
0.5000 0.5000 0.0000
0.0000 0.5000 0.5000
0.5000 0.0000 0.5000
0.0000 0.5000 0.2583
0.0000 0.5000 0.7417
0.5000 0.0000 0.2583
0.5000 0.0000 0.7417
```

---

7.
Diffraction record for PtCN2. The PXRD pattern is theoretical, not measured: it uses DFT lattice parameters and positions (PBE) and CuKα.
Peak positions follow from Bragg's law for the DFT cell and can differ from measured ones.

Main lines, low angle first (10 to 90 degrees two-theta):
2theta	intensity
18.94	95
31.26	62
33.20	100
40.13	45
44.73	40
54.37	27
55.53	20
58.10	31

```
PtCN2
1.0
3.3749 0.0000 0.0000
-1.6875 2.9228 0.0000
0.0000 0.0000 14.0530
Pt C N
3 3 6
Direct
0.0000 0.0000 0.0000
0.3333 0.6667 0.6667
0.6667 0.3333 0.3333
0.0000 0.0000 0.5000
0.3333 0.6667 0.1667
0.6667 0.3333 0.8333
0.0000 0.0000 0.4109
0.0000 0.0000 0.5891
0.3333 0.6667 0.0776
0.3333 0.6667 0.2557
0.6667 0.3333 0.7443
0.6667 0.3333 0.9224
```

---

8.
Diffraction record for Rb2PtC4N4. The PXRD pattern is theoretical, not measured: it uses DFT lattice parameters and positions (PBE) and CuKα.
Peak positions follow from Bragg's law for the DFT cell and can differ from measured ones.

Main lines, low angle first (10 to 90 degrees two-theta):
2theta	intensity
11.00	52
15.58	72
22.09	60
24.91	100
27.30	40
31.51	33
33.50	41
33.56	42

```
Rb2PtC4N4
1.0
-3.9907 5.6785 5.7010
3.9907 -5.6785 5.7010
3.9907 5.6785 -5.7010
Rb Pt C N
4 2 8 8
Direct
0.0000 0.0000 0.0000
0.4712 0.7212 0.7500
0.5000 0.0000 0.5000
0.5288 0.2788 0.2500
0.0000 0.0000 0.5000
0.0000 0.5000 0.0000
0.1740 0.1584 0.4844
0.1740 0.6895 0.0156
0.1752 0.0000 0.6752
0.1752 0.5000 0.1752
0.8248 0.0000 0.3248
0.8248 0.5000 0.8248
0.8260 0.3105 0.9844
0.8260 0.8416 0.5156
0.2768 0.2492 0.4724
0.2768 0.8043 0.0276
0.2787 0.0000 0.7787
0.2787 0.5000 0.2787
0.7213 0.0000 0.2213
0.7213 0.5000 0.7213
0.7232 0.1957 0.9724
0.7232 0.7508 0.5276
```